No. 1
Calculated X-ray powder pattern
Compound: LiVOF3
Radiation: λ = 1.5418 Å (Cu Kα)
Structure: DFT lattice parameters and positions (PBE+U)
No peak broadening, texture or thermal motion is included.

```
12
Lattice="5.387 0.000 0.000 0.000 5.308 0.000 -2.569 0.000 5.237" Properties=species:S:1:pos:R:3 pbc="T T T"
Li 0.120 0.000 2.451
Li 2.698 2.654 2.787
V -1.097 1.515 5.211
V 3.916 4.169 0.027
O -0.060 2.848 5.120
O 2.878 0.194 0.118
F -1.293 1.104 3.343
F 0.199 5.218 0.330
F 1.313 1.564 1.915
F 1.505 4.218 3.323
F 2.619 2.563 4.908
F 4.111 3.758 1.894
```

Largest 8 diffraction maxima, by angle, 2θ from 10° to 90°:
d = 5.237 Å, 16.93°, rel. 94
d = 3.575 Å, 24.91°, rel. 99
d = 3.537 Å, 25.18°, rel. 100
d = 2.693 Å, 33.27°, rel. 13
d = 2.619 Å, 34.24°, rel. 32
d = 1.890 Å, 48.14°, rel. 45
d = 1.846 Å, 49.38°, rel. 18
d = 1.820 Å, 50.13°, rel. 22



No. 2
Calculated X-ray powder pattern
Compound: Li2WO2F4
Radiation: λ = 1.5418 Å (Cu Kα)
Structure: DFT lattice parameters and positions (PBE+U)
No peak broadening, texture or thermal motion is included.

```
36
Lattice="4.739 0.000 0.000 0.000 17.559 0.000 0.000 0.000 5.062" Properties=species:S:1:pos:R:3 pbc="T T T"
Li 0.000 0.799 1.266
Li 0.000 4.693 3.797
Li 0.000 12.866 1.266
Li 0.000 16.760 3.797
Li 2.369 4.087 1.266
Li 2.369 7.980 3.797
Li 2.369 9.578 1.266
Li 2.369 13.472 3.797
W 0.000 6.876 1.266
W 0.000 10.683 3.797
W 2.369 1.903 3.797
W 2.369 15.655 1.266
O 1.164 7.981 0.497
O 1.164 9.578 3.028
O 1.206 0.799 3.028
O 1.206 16.760 0.497
O 3.533 0.799 4.566
O 3.533 16.760 2.034
O 3.575 7.981 2.034
O 3.575 9.578 4.566
F 0.991 5.237 0.449
F 0.991 12.322 2.980
F 1.101 6.544 2.851
F 1.101 11.014 0.319
F 1.268 2.235 0.319
F 1.268 15.324 2.851
F 1.378 3.543 2.980
F 1.378 14.016 0.449
F 3.360 3.543 4.613
F 3.360 14.016 2.082
F 3.470 2.235 2.212
F 3.470 15.324 4.743
F 3.638 6.544 4.743
F 3.638 11.014 2.212
F 3.748 5.237 2.082
F 3.748 12.322 4.613
```

Largest 8 diffraction maxima, by angle, 2θ from 10° to 90°:
d = 4.575 Å, 19.40°, rel. 48
d = 4.387 Å, 20.24°, rel. 100
d = 3.394 Å, 26.26°, rel. 30
d = 2.978 Å, 30.00°, rel. 44
d = 2.821 Å, 31.71°, rel. 19
d = 2.085 Å, 43.40°, rel. 27
d = 2.031 Å, 44.62°, rel. 16
d = 1.730 Å, 52.92°, rel. 23



No. 3
Calculated X-ray powder pattern
Compound: LiW3O9F
Radiation: λ = 1.5418 Å (Cu Kα)
Structure: DFT lattice parameters and positions (PBE+U)
No peak broadening, texture or thermal motion is included.

```
28
Lattice="3.742 -6.489 0.000 3.742 6.489 0.000 -3.690 0.000 7.695" Properties=species:S:1:pos:R:3 pbc="T T T"
Li 1.897 4.850 3.847
Li 3.742 -4.850 0.000
W 0.620 1.633 3.650
W -1.224 -1.633 7.498
W 0.627 1.629 7.611
W 2.472 -1.629 3.764
W 4.369 1.602 3.814
W 2.524 -1.602 7.661
O 2.513 -5.345 3.932
O 0.187 3.521 3.865
O 0.577 1.610 1.883
O 4.358 5.345 0.084
O 3.020 3.022 0.113
O -1.268 -1.610 5.730
O 0.643 1.645 5.804
O 3.030 0.229 0.047
O 2.520 2.095 3.869
O 1.185 -0.229 3.895
O 2.032 -3.521 0.018
O 2.488 -1.645 1.957
O 4.406 1.626 1.979
O 1.175 -3.022 3.960
O 4.365 -2.095 0.022
O 5.771 0.279 0.057
O 3.926 -0.279 3.904
O 2.561 -1.626 5.826
F 2.428 4.891 1.983
F 0.583 -4.891 5.831
```

Largest 8 diffraction maxima, by angle, 2θ from 10° to 90°:
d = 5.974 Å, 14.83°, rel. 26
d = 4.960 Å, 17.88°, rel. 20
d = 3.847 Å, 23.12°, rel. 51
d = 3.242 Å, 27.51°, rel. 100
d = 2.483 Å, 36.17°, rel. 38
d = 2.472 Å, 36.35°, rel. 18
d = 1.872 Å, 48.64°, rel. 25
d = 1.621 Å, 56.79°, rel. 16



- What is the formula in the third record?
  LiW3O9F